For ZrSc5Hg6, a crystal structure in Alexandria, relaxed with GGA-PBE gives the computed powder diffractogram in this record (Cu Kα (weighted mean of Kα1 and Kα2)).
Intensities are scaled so that the largest is 100.

Top 12 peaks for 15° ≤ 2θ ≤ 90°, in order of rising 2θ:
d/Å, Position (°2θ), intensity
3.546, 25.11, 20.6
3.509, 25.38, 40.3
2.494, 36.01, 100.0
2.486, 36.14, 24.7
2.477, 36.26, 24.7
2.031, 44.62, 9.7
1.755, 52.12, 17.3
1.572, 58.72, 13.2
1.437, 64.90, 17.6
1.434, 65.06, 17.7
1.247, 76.36, 11.1
1.111, 87.89, 12.1

Structural model:
Lattice parameters (Å, degrees): 7.8577 7.8577 7.0923 90.00 90.00 143.24
Element x y z (fractional)
Zr (0.0000, 0.0000, 0.0000)
Sc (0.0000, 0.0000, 0.5000)
Sc (0.3335, 0.6665, 0.5000)
Sc (0.3368, 0.6632, 0.0000)
Sc (0.6632, 0.3368, 0.0000)
Sc (0.6665, 0.3335, 0.5000)
Hg (0.1694, 0.8306, 0.2520)
Hg (0.1694, 0.8306, 0.7480)
Hg (0.5000, 0.5000, 0.2587)
Hg (0.5000, 0.5000, 0.7413)
Hg (0.8306, 0.1694, 0.2520)
Hg (0.8306, 0.1694, 0.7480)